# 1
Diffraction record for NpAsS4. The X-ray diffraction stick pattern is calculated, not measured: it uses the PBE geometry in Alexandria and a wavelength of 1.5418 Å.
Peak positions follow from Bragg's law for the DFT cell and can differ from measured ones.

Main lines, sorted by position (2θ from 10° to 90°):
2θ 15.4, d 5.743, rel. 31.7
2θ 18.4, d 4.819, rel. 48.1
2θ 19.6, d 4.520, rel. 92.8
2θ 20.0, d 4.430, rel. 90.7
2θ 26.0, d 3.429, rel. 47.6
2θ 28.2, d 3.164, rel. 31.3
2θ 32.8, d 2.732, rel. 100.0
2θ 34.1, d 2.626, rel. 31.0
2θ 39.0, d 2.312, rel. 33.2
2θ 44.0, d 2.059, rel. 67.8
2θ 48.2, d 1.887, rel. 26.1
2θ 57.0, d 1.616, rel. 25.2

Atomic structure:
```
data_NpAsS4
_chemical_formula_sum 'Np4 As4 S16'
_space_group_name_H-M_alt 'C m c m'
_space_group_IT_number 63
_space_group_name_Hall '-C 2c 2'
_cell_length_a 9.0392
_cell_length_b 7.4369
_cell_length_c 8.8591
_cell_angle_alpha 90.00
_cell_angle_beta 90.00
_cell_angle_gamma 90.00
loop_
_atom_site_label
_atom_site_fract_x
_atom_site_fract_y
_atom_site_fract_z
Np1 0.0000 0.1399 0.2500
As1 0.0000 0.3824 0.7500
S1 0.0000 0.1625 0.5624
S2 0.1941 0.4371 0.2500
```


# 2
Diffraction record for Nd3Ga7Co2. The X-ray diffraction stick pattern is calculated, not measured: it uses the PBE geometry in Alexandria and a wavelength of 1.5418 Å.
Peak positions follow from Bragg's law for the DFT cell and can differ from measured ones.

Main lines, sorted by position (2θ from 10° to 90°):
2θ 27.7, d 3.221, rel. 14.7
2θ 28.0, d 3.192, rel. 13.3
2θ 30.5, d 2.928, rel. 17.5
2θ 34.0, d 2.635, rel. 100.0
2θ 39.4, d 2.289, rel. 32.7
2θ 39.4, d 2.286, rel. 22.2
2θ 39.7, d 2.270, rel. 30.8
2θ 56.9, d 1.617, rel. 14.8
2θ 57.2, d 1.611, rel. 35.2
2θ 68.0, d 1.379, rel. 18.3
2θ 68.4, d 1.371, rel. 12.9
2θ 71.6, d 1.317, rel. 14.5

Atomic structure:
```
data_Nd3Ga7Co2
_chemical_formula_sum 'Nd6 Ga14 Co4'
_space_group_name_H-M_alt 'C m m m'
_space_group_IT_number 65
_space_group_name_Hall '-C 2 2'
_cell_length_a 4.5401
_cell_length_b 22.8569
_cell_length_c 4.5782
_cell_angle_alpha 90.00
_cell_angle_beta 90.00
_cell_angle_gamma 90.00
loop_
_atom_site_label
_atom_site_fract_x
_atom_site_fract_y
_atom_site_fract_z
Nd1 0.0000 0.0000 0.0000
Nd2 0.0000 0.1863 0.0000
Ga1 0.0000 0.0959 0.5000
Ga2 0.0000 0.2860 0.5000
Ga3 0.0000 0.4051 0.0000
Ga4 0.0000 0.5000 0.5000
Co1 0.0000 0.3957 0.5000
```


# 3
Diffraction record for Tb4Y4Mg. The X-ray diffraction stick pattern is calculated, not measured: it uses the PBE geometry in Alexandria and a wavelength of 1.5418 Å.
Peak positions follow from Bragg's law for the DFT cell and can differ from measured ones.

Main lines, sorted by position (2θ from 10° to 90°):
2θ 11.8, d 7.510, rel. 18.2
2θ 25.9, d 3.444, rel. 11.4
2θ 30.9, d 2.890, rel. 100.0
2θ 35.9, d 2.502, rel. 50.3
2θ 37.9, d 2.374, rel. 4.7
2θ 39.3, d 2.290, rel. 4.6
2θ 51.7, d 1.769, rel. 35.2
2θ 61.4, d 1.509, rel. 41.4
2θ 64.5, d 1.445, rel. 11.9
2θ 76.0, d 1.252, rel. 3.7
2θ 84.4, d 1.148, rel. 17.0
2θ 87.1, d 1.119, rel. 15.8

Atomic structure:
```
data_Tb4Y4Mg
_chemical_formula_sum 'Tb8 Y8 Mg2'
_space_group_name_H-M_alt 'I 4/m m m'
_space_group_IT_number 139
_space_group_name_Hall '-I 4 2'
_cell_length_a 10.6207
_cell_length_b 10.6207
_cell_length_c 5.0010
_cell_angle_alpha 90.00
_cell_angle_beta 90.00
_cell_angle_gamma 90.00
loop_
_atom_site_label
_atom_site_fract_x
_atom_site_fract_y
_atom_site_fract_z
Tb1 0.0000 0.3357 0.0000
Y1 0.1655 0.1655 0.5000
Mg1 0.0000 0.0000 0.0000
```


Repeat the third record exactly.
Diffraction record for Tb4Y4Mg. The X-ray diffraction stick pattern is calculated, not measured: it uses the PBE geometry in Alexandria and a wavelength of 1.5418 Å.
Peak positions follow from Bragg's law for the DFT cell and can differ from measured ones.

Main lines, sorted by position (2θ from 10° to 90°):
2θ 11.8, d 7.510, rel. 18.2
2θ 25.9, d 3.444, rel. 11.4
2θ 30.9, d 2.890, rel. 100.0
2θ 35.9, d 2.502, rel. 50.3
2θ 37.9, d 2.374, rel. 4.7
2θ 39.3, d 2.290, rel. 4.6
2θ 51.7, d 1.769, rel. 35.2
2θ 61.4, d 1.509, rel. 41.4
2θ 64.5, d 1.445, rel. 11.9
2θ 76.0, d 1.252, rel. 3.7
2θ 84.4, d 1.148, rel. 17.0
2θ 87.1, d 1.119, rel. 15.8

Atomic structure:
```
data_Tb4Y4Mg
_chemical_formula_sum 'Tb8 Y8 Mg2'
_space_group_name_H-M_alt 'I 4/m m m'
_space_group_IT_number 139
_space_group_name_Hall '-I 4 2'
_cell_length_a 10.6207
_cell_length_b 10.6207
_cell_length_c 5.0010
_cell_angle_alpha 90.00
_cell_angle_beta 90.00
_cell_angle_gamma 90.00
loop_
_atom_site_label
_atom_site_fract_x
_atom_site_fract_y
_atom_site_fract_z
Tb1 0.0000 0.3357 0.0000
Y1 0.1655 0.1655 0.5000
Mg1 0.0000 0.0000 0.0000
```


What is the formula in the third record? Tb4Y4Mg